Starting from a crystal structure in Alexandria, relaxed with PBE, the XRD peak list of LiYB12 was calculated for Cu Kα (weighted mean of Kα1 and Kα2).

Largest 10 diffraction maxima, low angle first, 5 to 70 degrees two-theta:
(0 0 1), 2θ = 10.73°, d = 8.243 Å, rel. 100; (1 0 1), 2θ = 24.15°, d = 3.685 Å, rel. 61; (1 1 0), 2θ = 30.68°, d = 2.914 Å, rel. 80; (1 1 1), 2θ = 32.60°, d = 2.747 Å, rel. 35; (1 1 2), 2θ = 37.82°, d = 2.379 Å, rel. 39; (1 0 3), 2θ = 39.42°, d = 2.286 Å, rel. 17; (2 0 0), 2θ = 43.95°, d = 2.060 Å, rel. 21; (1 1 3), 2θ = 45.37°, d = 1.999 Å, rel. 22; (2 1 0), 2θ = 49.46°, d = 1.843 Å, rel. 34; (2 2 2), 2θ = 68.29°, d = 1.374 Å, rel. 28

Structural model:
```
data_LiYB12
_cell_length_a 4.1202
_cell_length_b 4.1202
_cell_length_c 8.2430
_cell_angle_alpha 90.00
_cell_angle_beta 90.00
_cell_angle_gamma 90.00
_symmetry_space_group_name_H-M 'P 4/m m m'
_symmetry_Int_Tables_number 123
_symmetry_space_group_name_Hall '-P 4 2'
loop_
_atom_site_label
_atom_site_fract_x
_atom_site_fract_y
_atom_site_fract_z
_atom_site_occupancy
Li1 0.0000 0.0000 0.0000 1
Y1 0.0000 0.0000 0.5000 1
B1 0.2004 0.5000 0.2518 1
B2 0.5000 0.5000 0.1009 1
B3 0.5000 0.5000 0.4008 1
```